No. 1
The following is a theoretical powder X-ray diffraction pattern of NaNd9Ge6O26. It was derived from the PBE geometry in Alexandria, using λ = 1.5418 Å (Cu Kα).
Peak positions follow from Bragg's law for the DFT cell and can differ from measured ones.

Most intense lines, 2θ = 10–90°, by angle:
(0 0 2), 2θ = 24.79°, I 20; (0 1 2), 2θ = 26.93°, I 22; (2 1 0), 2θ = 27.66°, I 27; (2 1 1), 2θ = 30.38°, I 100; (1 1 2), 2θ = 30.81°, I 45; (3 0 0), 2θ = 31.45°, I 27; (2 2 2), 2θ = 44.60°, I 24; (3 -2 3), 2θ = 47.28°, I 33; (1 4 0), 2θ = 48.92°, I 15; (0 4 2), 2θ = 49.71°, I 18

Atomic structure:
```
data_NaNd9Ge6O26
_space_group_name_H-M_alt 'P 3'
_space_group_IT_number 143
_space_group_name_Hall 'P 3'
_cell_length_a 9.8527
_cell_length_b 9.8527
_cell_length_c 7.1841
_cell_angle_alpha 90.00
_cell_angle_beta 90.00
_cell_angle_gamma 120.00
loop_
_atom_site_label
_atom_site_fract_x
_atom_site_fract_y
_atom_site_fract_z
Na1 0.0000 0.0000 0.0000
Nd1 0.0000 0.0000 0.5064
Nd2 0.3333 0.6667 0.0083
Nd3 0.3333 0.6667 0.5074
Nd4 0.4276 0.1000 0.7585
Nd5 0.4372 0.3402 0.2566
Ge1 0.0390 0.3022 0.2561
Ge2 0.0638 0.7068 0.7566
O1 0.0144 0.5767 0.5626
O2 0.0148 0.5804 0.9525
O3 0.0577 0.8542 0.2624
O4 0.1635 0.5087 0.2580
O5 0.1859 0.1539 0.7520
O6 0.1916 0.4648 0.7583
O7 0.3216 0.0863 0.4540
O8 0.3558 0.0991 0.0749
O9 0.6667 0.3333 0.2800
O10 0.6667 0.3333 0.7616
```

No. 2
The following is a theoretical powder X-ray diffraction pattern of NaNi3Ge3. It was derived from the PBE geometry in Alexandria, using λ = 1.5418 Å (Cu Kα).
Peak positions follow from Bragg's law for the DFT cell and can differ from measured ones.

Most intense lines, 2θ = 10–90°, by angle:
(1 1 0), 2θ = 19.24°, I 100; (2 0 0), 2θ = 27.34°, I 43; (2 1 1), 2θ = 33.65°, I 99; (2 2 0), 2θ = 39.05°, I 16; (3 1 0), 2θ = 43.89°, I 23; (2 2 2), 2θ = 48.33°, I 67; (3 2 1), 2θ = 52.48°, I 53; (4 0 0), 2θ = 56.42°, I 39; (4 2 0), 2θ = 63.81°, I 14; (4 4 0), 2θ = 83.90°, I 23

Atomic structure:
```
data_NaNi3Ge3
_space_group_name_H-M_alt 'P m -3 n'
_space_group_IT_number 223
_space_group_name_Hall '-P 4n 2 3'
_cell_length_a 6.5238
_cell_length_b 6.5238
_cell_length_c 6.5238
_cell_angle_alpha 90.00
_cell_angle_beta 90.00
_cell_angle_gamma 90.00
loop_
_atom_site_label
_atom_site_fract_x
_atom_site_fract_y
_atom_site_fract_z
Na1 0.0000 0.0000 0.0000
Ni1 0.0000 0.2500 0.5000
Ge1 0.0000 0.5000 0.2500
```

No. 3
The following is a theoretical powder X-ray diffraction pattern of Na4GeO4. It was derived from the PBE geometry in Alexandria, using λ = 1.5418 Å (Cu Kα).
Peak positions follow from Bragg's law for the DFT cell and can differ from measured ones.

Most intense lines, 2θ = 10–90°, by angle:
(1 0 1), 2θ = 17.59°, I 98; (1 1 0), 2θ = 19.41°, I 65; (0 1 1), 2θ = 19.50°, I 62; (0 1 -1), 2θ = 20.07°, I 66; (1 1 -2), 2θ = 33.18°, I 79; (0 2 0), 2θ = 33.49°, I 67; (2 0 1), 2θ = 33.60°, I 67; (2 2 1), 2θ = 37.76°, I 97; (-1 1 2), 2θ = 38.41°, I 100; (1 -1 3), 2θ = 39.72°, I 93

Atomic structure:
```
data_Na4GeO4
_space_group_name_H-M_alt 'P -1'
_space_group_IT_number 2
_space_group_name_Hall '-P 1'
_cell_length_a 5.7456
_cell_length_b 5.7646
_cell_length_c 8.6989
_cell_angle_alpha 81.61
_cell_angle_beta 71.37
_cell_angle_gamma 68.24
loop_
_atom_site_label
_atom_site_fract_x
_atom_site_fract_y
_atom_site_fract_z
Na1 0.0204 0.2644 0.4347
Na2 0.1094 0.7274 0.1798
Na3 0.2594 0.2429 0.0121
Na4 0.4465 0.2420 0.6021
Ge1 0.3433 0.7220 0.7561
O1 0.1409 0.5315 0.8055
O2 0.2039 0.9733 0.6260
O3 0.3372 0.4681 0.3604
O4 0.3523 0.8449 0.9286
```

No. 4
The following is a theoretical powder X-ray diffraction pattern of Na2Ge2O5. It was derived from the PBE geometry in Alexandria, using λ = 1.5418 Å (Cu Kα).
Peak positions follow from Bragg's law for the DFT cell and can differ from measured ones.

Most intense lines, 2θ = 10–90°, by angle:
(0 1 0), 2θ = 15.42°, I 87; (1 1 0), 2θ = 17.86°, I 32; (2 0 1), 2θ = 20.62°, I 24; (2 1 1), 2θ = 25.87°, I 21; (2 0 2), 2θ = 27.18°, I 85; (0 2 0), 2θ = 31.14°, I 22; (2 1 2), 2θ = 31.42°, I 100; (3 1 1), 2θ = 32.97°, I 25; (3 1 2), 2θ = 37.59°, I 28; (0 0 4), 2θ = 41.21°, I 21

Atomic structure:
```
data_Na2Ge2O5
_space_group_name_H-M_alt 'P c a 21'
_space_group_IT_number 29
_space_group_name_Hall 'P 2c -2ac'
_cell_length_a 9.8833
_cell_length_b 5.7446
_cell_length_c 8.7620
_cell_angle_alpha 90.00
_cell_angle_beta 90.00
_cell_angle_gamma 90.00
loop_
_atom_site_label
_atom_site_fract_x
_atom_site_fract_y
_atom_site_fract_z
Na1 0.0076 0.0485 0.0000
Na2 0.2439 0.9249 0.2324
Ge1 0.0382 0.4551 0.7351
Ge2 0.2057 0.3816 0.4348
O1 0.0019 0.1631 0.7362
O2 0.1034 0.3571 0.2630
O3 0.1138 0.5715 0.5625
O4 0.1558 0.5644 0.8776
O5 0.2432 0.1013 0.4867
```

No. 5
The following is a theoretical powder X-ray diffraction pattern of Na2Ge2O5. It was derived from the PBE geometry in Alexandria, using λ = 1.5418 Å (Cu Kα).
Peak positions follow from Bragg's law for the DFT cell and can differ from measured ones.

Most intense lines, 2θ = 10–90°, by angle:
(0 2 0), 2θ = 14.24°, I 100; (2 0 0), 2θ = 20.81°, I 38; (1 1 1), 2θ = 21.76°, I 81; (1 2 1), 2θ = 25.09°, I 50; (2 3 0), 2θ = 30.05°, I 36; (2 2 1), 2θ = 31.05°, I 31; (3 1 0), 2θ = 32.27°, I 36; (1 4 1), 2θ = 35.56°, I 29; (0 0 2), 2θ = 35.81°, I 58; (3 1 1), 2θ = 37.04°, I 26

Atomic structure:
```
data_Na2Ge2O5
_space_group_name_H-M_alt 'P n a 21'
_space_group_IT_number 33
_space_group_name_Hall 'P 2c -2n'
_cell_length_a 8.5367
_cell_length_b 12.4380
_cell_length_c 5.0138
_cell_angle_alpha 90.00
_cell_angle_beta 90.00
_cell_angle_gamma 90.00
loop_
_atom_site_label
_atom_site_fract_x
_atom_site_fract_y
_atom_site_fract_z
Na1 0.0692 0.2284 0.0000
Na2 0.1849 0.6938 0.9667
Ge1 0.0494 0.9290 0.0462
Ge2 0.1098 0.5264 0.4263
O1 0.0270 0.9507 0.4007
O2 0.0381 0.1918 0.4745
O3 0.0709 0.5184 0.0720
O4 0.1645 0.6569 0.4946
O5 0.2445 0.4183 0.4871
```

What did the third record say?
The following is a theoretical powder X-ray diffraction pattern of Na4GeO4. It was derived from the PBE geometry in Alexandria, using λ = 1.5418 Å (Cu Kα).
Peak positions follow from Bragg's law for the DFT cell and can differ from measured ones.

Most intense lines, 2θ = 10–90°, by angle:
(1 0 1), 2θ = 17.59°, I 98; (1 1 0), 2θ = 19.41°, I 65; (0 1 1), 2θ = 19.50°, I 62; (0 1 -1), 2θ = 20.07°, I 66; (1 1 -2), 2θ = 33.18°, I 79; (0 2 0), 2θ = 33.49°, I 67; (2 0 1), 2θ = 33.60°, I 67; (2 2 1), 2θ = 37.76°, I 97; (-1 1 2), 2θ = 38.41°, I 100; (1 -1 3), 2θ = 39.72°, I 93

Atomic structure:
```
data_Na4GeO4
_space_group_name_H-M_alt 'P -1'
_space_group_IT_number 2
_space_group_name_Hall '-P 1'
_cell_length_a 5.7456
_cell_length_b 5.7646
_cell_length_c 8.6989
_cell_angle_alpha 81.61
_cell_angle_beta 71.37
_cell_angle_gamma 68.24
loop_
_atom_site_label
_atom_site_fract_x
_atom_site_fract_y
_atom_site_fract_z
Na1 0.0204 0.2644 0.4347
Na2 0.1094 0.7274 0.1798
Na3 0.2594 0.2429 0.0121
Na4 0.4465 0.2420 0.6021
Ge1 0.3433 0.7220 0.7561
O1 0.1409 0.5315 0.8055
O2 0.2039 0.9733 0.6260
O3 0.3372 0.4681 0.3604
O4 0.3523 0.8449 0.9286
```